Record 1
Diffraction record for LaHg3. The X-ray powder pattern is simulated, not measured: it uses a crystal structure in the Materials Project, relaxed with PBE and Cu Kα (λ = 1.5418 Å).

Most intense lines, 10° ≤ 2θ ≤ 80°, by angle:
2θ 10.3, rel. 6, hkl 0 0 1; 2θ 25.5, rel. 34, hkl 1 0 0; 2θ 33.1, rel. 100, hkl 1 0 2; 2θ 42.3, rel. 11, hkl 0 0 4; 2θ 44.9, rel. 30, hkl 1 1 0; 2θ 50.0, rel. 10, hkl 1 0 4; 2θ 56.9, rel. 22, hkl 2 0 2; 2θ 63.4, rel. 19, hkl 1 1 4; 2θ 71.5, rel. 9, hkl 1 0 6; 2θ 75.2, rel. 19, hkl 2 1 2

Crystal structure
Cell: 4.0404 4.0404 8.5483 Å, 90.00 90.00 120.00°
Space group P-6m2 (No. 187)
One atom of each set of equivalent atoms:
La (0.0000, 0.0000, 0.0000) (multiplicity 1)
Hg (0.0000, 0.0000, 0.5000) (multiplicity 1)
Hg (0.3333, 0.6667, 0.2667) (multiplicity 2)

=====

Record 2
Diffraction record for LiLaHg2. The X-ray powder pattern is simulated, not measured: it uses a crystal structure in the Materials Project, relaxed with PBE and Cu Kα (λ = 1.5418 Å).

Most intense lines, 10° ≤ 2θ ≤ 80°, by angle:
2θ 20.7, rel. 14, hkl 1 1 1; 2θ 24.0, rel. 27, hkl 2 0 0; 2θ 34.2, rel. 100, hkl 2 2 0; 2θ 40.3, rel. 7, hkl 3 1 1; 2θ 42.2, rel. 9, hkl 2 2 2; 2θ 49.1, rel. 18, hkl 4 0 0; 2θ 55.3, rel. 12, hkl 4 2 0; 2θ 61.2, rel. 38, hkl 4 2 2; 2θ 72.0, rel. 12, hkl 4 4 0; 2θ 77.1, rel. 6, hkl 6 0 0

Crystal structure
Cell: 7.423 7.423 7.423 Å, 90.00 90.00 90.00°
Space group Fm-3m (No. 225)
One atom of each set of equivalent atoms:
Li (0.000, 0.000, 0.000) (multiplicity 4)
La (0.000, 0.000, 0.500) (multiplicity 4)
Hg (0.250, 0.250, 0.250) (multiplicity 8)

=====

Record 3
Diffraction record for NaLaHg2. The X-ray powder pattern is simulated, not measured: it uses a crystal structure in the Materials Project, relaxed with PBE and Cu Kα (λ = 1.5418 Å).

Most intense lines, 10° ≤ 2θ ≤ 80°, by angle:
2θ 20.3, rel. 9, hkl 1 1 1; 2θ 23.4, rel. 21, hkl 2 0 0; 2θ 33.4, rel. 100, hkl 2 2 0; 2θ 39.3, rel. 5, hkl 3 1 1; 2θ 41.2, rel. 7, hkl 2 2 2; 2θ 47.9, rel. 18, hkl 4 0 0; 2θ 54.0, rel. 10, hkl 4 2 0; 2θ 59.6, rel. 38, hkl 4 2 2; 2θ 70.1, rel. 12, hkl 4 4 0; 2θ 79.9, rel. 17, hkl 6 2 0

Crystal structure
Cell: 7.595 7.595 7.595 Å, 90.00 90.00 90.00°
Space group Fm-3m (No. 225)
One atom of each set of equivalent atoms:
Na (0.000, 0.000, 0.000) (multiplicity 4)
La (0.000, 0.000, 0.500) (multiplicity 4)
Hg (0.250, 0.250, 0.250) (multiplicity 8)

=====

Record 4
Diffraction record for LaHgPd. The X-ray powder pattern is simulated, not measured: it uses a crystal structure in the Materials Project, relaxed with PBE and Cu Kα (λ = 1.5418 Å).

Most intense lines, 10° ≤ 2θ ≤ 80°, by angle:
2θ 31.6, rel. 100, hkl 1 1 1; 2θ 34.3, rel. 71, hkl 2 0 1; 2θ 34.7, rel. 60, hkl 2 1 0; 2θ 39.5, rel. 33, hkl 3 0 0; 2θ 41.4, rel. 35, hkl 2 1 1; 2θ 44.6, rel. 24, hkl 0 0 2; 2θ 53.3, rel. 10, hkl 3 1 1; 2θ 57.8, rel. 28, hkl 2 1 2; 2θ 61.1, rel. 18, hkl 3 0 2; 2θ 63.6, rel. 33, hkl 3 2 1

Crystal structure
Cell: 7.8936 7.8936 4.0605 Å, 90.00 90.00 120.00°
Space group P-62m (No. 189)
One atom of each set of equivalent atoms:
La (0.0000, 0.4053, 0.0000) (multiplicity 3)
Hg (0.0000, 0.7444, 0.5000) (multiplicity 3)
Pd (0.0000, 0.0000, 0.0000) (multiplicity 1)
Pd (0.3333, 0.6667, 0.5000) (multiplicity 2)

=====

Question: Number 3 is which compound?
Answer: NaLaHg2

=====

Copy entry 2 word for word.
Diffraction record for LiLaHg2. The X-ray powder pattern is simulated, not measured: it uses a crystal structure in the Materials Project, relaxed with PBE and Cu Kα (λ = 1.5418 Å).

Most intense lines, 10° ≤ 2θ ≤ 80°, by angle:
2θ 20.7, rel. 14, hkl 1 1 1; 2θ 24.0, rel. 27, hkl 2 0 0; 2θ 34.2, rel. 100, hkl 2 2 0; 2θ 40.3, rel. 7, hkl 3 1 1; 2θ 42.2, rel. 9, hkl 2 2 2; 2θ 49.1, rel. 18, hkl 4 0 0; 2θ 55.3, rel. 12, hkl 4 2 0; 2θ 61.2, rel. 38, hkl 4 2 2; 2θ 72.0, rel. 12, hkl 4 4 0; 2θ 77.1, rel. 6, hkl 6 0 0

Crystal structure
Cell: 7.423 7.423 7.423 Å, 90.00 90.00 90.00°
Space group Fm-3m (No. 225)
One atom of each set of equivalent atoms:
Li (0.000, 0.000, 0.000) (multiplicity 4)
La (0.000, 0.000, 0.500) (multiplicity 4)
Hg (0.250, 0.250, 0.250) (multiplicity 8)